Computed powder X-ray diffraction pattern of PmPuHg2O6 for Cu Kα (weighted mean of Kα1 and Kα2), from a structure optimized by DFT (PBE).

Structure:
Unit cell a=6.221 b=6.221 c=6.221 alpha=56.49 beta=56.49 gamma=56.49
Fractional coordinates of all 10 atoms:
Pm 0.000 0.000 0.000
Pu 0.500 0.500 0.500
Hg 0.251 0.251 0.251
Hg 0.749 0.749 0.749
O 0.141 0.732 0.385
O 0.268 0.615 0.859
O 0.385 0.141 0.732
O 0.615 0.859 0.268
O 0.732 0.385 0.141
O 0.859 0.268 0.615

Most intense lines, 2θ from 5° to 70°, in order of rising 2θ:
2θ/deg, I (rel.)
17.02, 14
18.30, 44
28.78, 1000
30.36, 800
35.01, 26
42.33, 405
49.99, 225
52.97, 393
53.94, 217
59.62, 148
63.16, 110
68.37, 186